Diffraction record for PtSe2O. The PXRD pattern is simulated, not measured: it uses the GGA-PBE geometry in Alexandria and a wavelength of 1.5418 Å.

Principal peaks in the range 5° ≤ 2θ ≤ 70°, by angle:
2θ/deg  intensity  hkl
19.0  444  1 0 1
28.2  306  1 0 3
29.0  1000  1 1 2
40.7  248  2 1 1
41.1  115  1 0 5
46.0  108  2 1 3
46.7  511  2 0 4
51.2  187  2 2 0
51.8  196  1 1 6
59.9  236  3 1 2

Structural model:
Lattice parameters (Å, degrees): 5.0453 5.0453 12.1966 90.00 90.00 90.00
Space group I-42d (No. 122)
Unique sites:
Pt1 0.0000 0.0000 0.0000
Se1 0.2165 0.2500 0.6250
O1 0.0000 0.0000 0.5000



Diffraction record for Tl8In3Sn. The PXRD pattern is simulated, not measured: it uses the GGA-PBE geometry in Alexandria and a wavelength of 1.5418 Å.

Principal peaks in the range 5° ≤ 2θ ≤ 70°, by angle:
2θ/deg  intensity  hkl
25.3  1000  1 1 1
34.9  864  2 -1 2
37.3  707  3 0 0
45.6  209  4 -2 1
47.1  177  2 -1 3
52.0  278  2 2 2
60.3  183  4 1 1
65.7  274  5 -1 2
67.3  126  3 3 0
69.5  219  3 0 4

Structural model:
Lattice parameters (Å, degrees): 8.3525 8.3525 6.5336 90.00 90.00 120.00
Space group P-31m (No. 162)
Unique sites:
Tl1 0.0000 0.3253 0.2375
Tl2 0.3333 0.6667 0.5000
In1 0.0000 0.0000 0.0000
In2 0.3333 0.6667 0.0000
Sn1 0.0000 0.0000 0.5000



Diffraction record for B7C5. The PXRD pattern is simulated, not measured: it uses the GGA-PBE geometry in Alexandria and a wavelength of 1.5418 Å.

Principal peaks in the range 5° ≤ 2θ ≤ 70°, by angle:
2θ/deg  intensity  hkl
6.5  1000  0 0 1
13.0  52  0 0 2
39.3  9  1 0 2
42.1  312  1 0 3
45.8  56  1 0 4
50.2  13  1 0 5
64.0  30  1 1 5
67.0  22  1 0 8
68.4  48  1 1 6
68.9  5  0 0 10

Structural model:
Lattice parameters (Å, degrees): 2.4348 2.4348 13.6351 90.00 90.00 90.00
Space group P-4m2 (No. 115)
Unique sites:
B1 0.0000 0.0000 0.0000
B2 0.0000 0.5000 0.0966
B3 0.0000 0.5000 0.7110
B4 0.5000 0.5000 0.1919
C1 0.0000 0.0000 0.3679
C2 0.0000 0.5000 0.4326
C3 0.5000 0.5000 0.5000



Diffraction record for ErCuNi5. The PXRD pattern is simulated, not measured: it uses the GGA-PBE geometry in Alexandria and a wavelength of 1.5418 Å.

Principal peaks in the range 5° ≤ 2θ ≤ 70°, by angle:
2θ/deg  intensity  hkl
33.0  146  0 1 3
37.5  195  0 2 0
38.3  327  1 0 4
40.5  1000  3 1 1
41.9  151  0 2 2
44.3  154  2 2 0
45.3  140  2 2 1
47.6  376  4 0 1
48.4  176  1 2 3
69.7  185  3 3 1

Structural model:
Lattice parameters (Å, degrees): 7.7902 4.7999 9.8578 90.00 90.00 90.00
Space group Pnma (No. 62)
Unique sites:
Er1 0.2417 0.2500 0.0606
Cu1 0.1412 0.7500 0.8551
Ni1 0.0580 0.7500 0.0959
Ni2 0.0677 0.0052 0.3101
Ni3 0.1008 0.2500 0.5189
Ni4 0.1840 0.2500 0.7539